CaPrNi2O6: theoretical powder diffraction line list (a wavelength of 1.5418 Å), based on a DFT-relaxed cell (PBE+U, Alexandria).
Peak positions follow from Bragg's law for the DFT cell and can differ from measured ones.

Main lines, most intense first (10° ≤ 2θ ≤ 90°):
2θ/deg	Rel. int.	(hkl)
33.16	100.0	2 1 1
33.02	47.9	0 0 2
20.10	42.5	1 0 1
59.06	36.7	2 1 3
47.39	29.9	0 2 2
59.33	20.5	4 0 2
38.96	17.2	1 1 2
47.81	16.4	4 0 0
69.60	15.1	4 2 2
40.85	10.1	2 0 2

Atomic structure:
Lattice parameters (Å, degrees): 7.611 5.423 5.428 90.00 90.00 90.00
Element x y z (fractional)
Ca (0.000, 0.204, 0.000)
Ca (0.500, 0.796, 0.500)
Pr (0.000, 0.711, 0.483)
Pr (0.500, 0.289, 0.983)
Ni (0.250, 0.249, 0.491)
Ni (0.250, 0.751, 0.991)
Ni (0.750, 0.249, 0.491)
Ni (0.750, 0.751, 0.991)
O (0.000, 0.260, 0.570)
O (0.000, 0.763, 0.920)
O (0.208, 0.463, 0.204)
O (0.213, 0.966, 0.276)
O (0.287, 0.034, 0.776)
O (0.292, 0.537, 0.704)
O (0.500, 0.237, 0.420)
O (0.500, 0.740, 0.070)
O (0.708, 0.537, 0.704)
O (0.713, 0.034, 0.776)
O (0.787, 0.966, 0.276)
O (0.792, 0.463, 0.204)